No. 1
Theoretical powder XRD pattern of AlFe3 for Cu Kα X-rays, from a GGA-PBE-relaxed structure.

The 6 most intense peaks (2θ from 10° to 80°), sorted by position:
- d = 3.316 Å, 2θ 26.9, I 7
- d = 2.872 Å, 2θ 31.1, I 4
- d = 2.031 Å, 2θ 44.6, I 100
- d = 1.732 Å, 2θ 52.9, I 3
- d = 1.436 Å, 2θ 64.9, I 15
- d = 1.318 Å, 2θ 71.6, I 1

Structural model:
```
AlFe3
1.0
0.000 2.872 2.872
2.872 0.000 2.872
2.872 2.872 0.000
Al Fe
1 3
direct
0.000 0.000 0.000 Al
0.250 0.250 0.250 Fe
0.500 0.500 0.500 Fe
0.750 0.750 0.750 Fe
```

***

No. 2
Theoretical powder XRD pattern of Al5Fe3 for Cu Kα X-rays, from a GGA-PBE-relaxed structure.

The 6 most intense peaks (2θ from 10° to 80°), sorted by position:
- d = 2.170 Å, 2θ 41.6, I 43
- d = 2.143 Å, 2θ 42.2, I 38
- d = 2.127 Å, 2θ 42.5, I 65
- d = 2.096 Å, 2θ 43.2, I 48
- d = 2.067 Å, 2θ 43.8, I 100
- d = 2.022 Å, 2θ 44.8, I 46

Structural model:
```
Al5Fe3
1.0
2.417 -6.808 0.000
2.417 6.808 0.000
-2.196 0.000 6.504
Al Fe
10 6
direct
0.062 0.725 0.797 Al
0.237 0.437 0.648 Al
0.252 0.252 0.007 Al
0.275 0.938 0.203 Al
0.437 0.237 0.648 Al
0.563 0.763 0.352 Al
0.725 0.062 0.797 Al
0.748 0.748 0.993 Al
0.763 0.563 0.352 Al
0.938 0.275 0.203 Al
0.130 0.130 0.345 Fe
0.248 0.752 0.500 Fe
0.323 0.677 0.000 Fe
0.677 0.323 0.000 Fe
0.752 0.248 0.500 Fe
0.870 0.870 0.655 Fe
```

***

No. 3
Theoretical powder XRD pattern of Al6Fe7 for Cu Kα X-rays, from a GGA-PBE-relaxed structure.

The 6 most intense peaks (2θ from 10° to 80°), sorted by position:
- d = 4.149 Å, 2θ 21.4, I 76
- d = 2.094 Å, 2θ 43.2, I 100
- d = 2.077 Å, 2θ 43.6, I 29
- d = 1.993 Å, 2θ 45.5, I 43
- d = 1.935 Å, 2θ 46.9, I 59
- d = 1.809 Å, 2θ 50.4, I 32

Structural model:
```
Al6Fe7
1.0
2.425 1.400 8.307
-2.425 1.400 8.307
0.000 -2.800 8.307
Al Fe
6 7
direct
0.052 0.052 0.052 Al
0.155 0.155 0.155 Al
0.333 0.333 0.333 Al
0.667 0.667 0.667 Al
0.845 0.845 0.845 Al
0.948 0.948 0.948 Al
0.086 0.589 0.589 Fe
0.411 0.411 0.914 Fe
0.411 0.914 0.411 Fe
0.500 0.500 0.500 Fe
0.589 0.086 0.589 Fe
0.589 0.589 0.086 Fe
0.914 0.411 0.411 Fe
```

***

No. 4
Theoretical powder XRD pattern of AlFe2 for Cu Kα X-rays, from a GGA-PBE-relaxed structure.

The 6 most intense peaks (2θ from 10° to 80°), sorted by position:
- d = 3.350 Å, 2θ 26.6, I 10
- d = 2.070 Å, 2θ 43.7, I 100
- d = 2.022 Å, 2θ 44.8, I 24
- d = 1.994 Å, 2θ 45.5, I 20
- d = 1.512 Å, 2θ 61.3, I 9
- d = 1.420 Å, 2θ 65.8, I 12

Structural model:
```
AlFe2
1.0
1.512 -5.983 0.000
1.512 5.983 0.000
0.000 0.000 4.044
Al Fe
2 4
direct
0.092 0.908 0.750 Al
0.908 0.092 0.250 Al
0.239 0.761 0.250 Fe
0.422 0.578 0.750 Fe
0.578 0.422 0.250 Fe
0.761 0.239 0.750 Fe
```

***

No. 5
Theoretical powder XRD pattern of Al3Fe13 for Cu Kα X-rays, from a GGA-PBE-relaxed structure.

The 6 most intense peaks (2θ from 10° to 80°), sorted by position:
- d = 5.974 Å, 2θ 14.8, I 18
- d = 2.173 Å, 2θ 41.6, I 31
- d = 2.025 Å, 2θ 44.8, I 41
- d = 1.941 Å, 2θ 46.8, I 59
- d = 1.915 Å, 2θ 47.5, I 100
- d = 1.481 Å, 2θ 62.7, I 17

Structural model:
```
Al3Fe13
1.0
4.989 0.000 0.000
0.000 4.050 4.424
0.000 -4.050 4.424
Al Fe
3 13
direct
0.000 0.000 0.000 Al
0.254 0.267 0.267 Al
0.746 0.267 0.267 Al
0.000 0.093 0.597 Fe
0.000 0.514 0.514 Fe
0.000 0.597 0.093 Fe
0.255 0.356 0.839 Fe
0.255 0.753 0.753 Fe
0.255 0.839 0.356 Fe
0.500 0.005 0.005 Fe
0.500 0.092 0.613 Fe
0.500 0.514 0.514 Fe
0.500 0.613 0.092 Fe
0.745 0.356 0.839 Fe
0.745 0.753 0.753 Fe
0.745 0.839 0.356 Fe
```

***

No. 6
Theoretical powder XRD pattern of Al2Ga2Fe7 for Cu Kα X-rays, from a GGA-PBE-relaxed structure.

The 6 most intense peaks (2θ from 10° to 80°), sorted by position:
- d = 2.176 Å, 2θ 41.5, I 35
- d = 2.110 Å, 2θ 42.9, I 100
- d = 2.067 Å, 2θ 43.8, I 51
- d = 2.055 Å, 2θ 44.1, I 53
- d = 2.043 Å, 2θ 44.3, I 96
- d = 2.041 Å, 2θ 44.4, I 78

Structural model:
```
Al2Ga2Fe7
1.0
4.443 0.000 0.000
1.100 5.435 0.000
2.128 0.655 5.894
Al Ga Fe
2 2 7
direct
0.181 0.248 0.255 Al
0.819 0.752 0.745 Al
0.239 0.761 0.274 Ga
0.761 0.239 0.726 Ga
0.257 0.419 0.585 Fe
0.258 0.059 0.901 Fe
0.267 0.589 0.914 Fe
0.500 0.000 0.500 Fe
0.733 0.411 0.086 Fe
0.742 0.941 0.099 Fe
0.743 0.581 0.415 Fe
```

***

No. 7
Theoretical powder XRD pattern of AlGa4Fe for Cu Kα X-rays, from a GGA-PBE-relaxed structure.

The 6 most intense peaks (2θ from 10° to 80°), sorted by position:
- d = 4.818 Å, 2θ 18.4, I 19
- d = 2.709 Å, 2θ 33.1, I 72
- d = 2.120 Å, 2θ 42.6, I 100
- d = 1.996 Å, 2θ 45.4, I 45
- d = 1.915 Å, 2θ 47.5, I 23
- d = 1.266 Å, 2θ 75.0, I 18

Structural model:
```
AlGa4Fe
1.0
-3.157 3.157 4.818
3.157 -3.157 4.818
3.157 3.157 -4.818
Al Ga Fe
2 8 2
direct
0.000 0.000 0.000 Al
0.500 0.500 0.000 Al
0.013 0.513 0.813 Ga
0.200 0.013 0.500 Ga
0.300 0.800 0.813 Ga
0.487 0.300 0.500 Ga
0.513 0.700 0.500 Ga
0.700 0.200 0.187 Ga
0.800 0.987 0.500 Ga
0.987 0.487 0.187 Ga
0.250 0.250 0.000 Fe
0.750 0.750 0.000 Fe
```

***

No. 8
Theoretical powder XRD pattern of AlGaFeNi for Cu Kα X-rays, from a GGA-PBE-relaxed structure.

The 6 most intense peaks (2θ from 10° to 80°), sorted by position:
- d = 4.031 Å, 2θ 22.0, I 13
- d = 2.381 Å, 2θ 37.8, I 7
- d = 2.050 Å, 2θ 44.2, I 100
- d = 2.016 Å, 2θ 45.0, I 47
- d = 1.475 Å, 2θ 63.0, I 8
- d = 1.426 Å, 2θ 65.5, I 14

Structural model:
```
AlGaFeNi
1.0
2.951 0.000 0.000
0.000 4.028 0.000
0.000 0.000 4.036
Al Ga Fe Ni
1 1 1 1
direct
0.000 0.000 0.000 Al
0.000 0.500 0.500 Ga
0.500 0.000 0.500 Fe
0.500 0.500 0.000 Ni
```

***

No. 9
Theoretical powder XRD pattern of Np2Al2Ga4Fe for Cu Kα X-rays, from a GGA-PBE-relaxed structure.

The 6 most intense peaks (2θ from 10° to 80°), sorted by position:
- d = 4.361 Å, 2θ 20.4, I 42
- d = 3.068 Å, 2θ 29.1, I 72
- d = 2.509 Å, 2θ 35.8, I 100
- d = 2.180 Å, 2θ 41.4, I 44
- d = 1.777 Å, 2θ 51.4, I 27
- d = 1.534 Å, 2θ 60.3, I 28

Structural model:
```
Np2Al2Ga4Fe
1.0
-3.083 3.083 4.318
3.083 -3.083 4.318
3.083 3.083 -4.318
Np Al Ga Fe
2 2 4 1
direct
0.250 0.750 0.500 Np
0.750 0.250 0.500 Np
0.223 0.223 0.000 Al
0.777 0.777 0.000 Al
0.224 0.224 0.449 Ga
0.224 0.776 0.000 Ga
0.776 0.224 0.000 Ga
0.776 0.776 0.551 Ga
0.500 0.500 0.000 Fe
```